For Nd4In5Si2, a PBE-relaxed structure gives the theoretical XRD peak list in this record (Cu Kα).
Lines closer than 0.1° are merged.

Cell and atoms:
```
Nd4In5Si2
1.0
7.6348 0.0000 0.0000
0.0000 4.3545 0.0000
-0.4691 0.0000 8.8173
Nd In Si
4 5 2
Direct
0.2042 0.0000 0.3554 Nd
0.2290 0.0000 0.9112 Nd
0.7710 0.0000 0.0888 Nd
0.7958 0.0000 0.6446 Nd
0.1369 0.5000 0.6329 In
0.4487 0.5000 0.1608 In
0.5000 0.5000 0.5000 In
0.5513 0.5000 0.8392 In
0.8631 0.5000 0.3671 In
0.0771 0.5000 0.1217 Si
0.9229 0.5000 0.8783 Si
```

Largest 6 diffraction maxima, in order of rising 2θ, 2θ from 5° to 70°:
2θ (°)	d/Å	I (rel.)
30.7	2.908	90
31.2	2.868	100
31.6	2.833	97
33.2	2.695	61
35.3	2.541	31
41.5	2.177	50

For Nd2SmIn4, a PBE-relaxed structure gives the theoretical XRD peak list in this record (Cu Kα).
Lines closer than 0.1° are merged.

Cell and atoms:
```
Nd2SmIn4
1.0
6.3359 0.0000 0.0000
-0.5997 8.5725 0.0000
-2.8982 -4.0228 7.4447
Nd Sm In
4 2 8
Direct
0.0000 0.0000 0.0000 Nd
0.0475 0.0216 0.5356 Nd
0.1498 0.4637 0.8323 Nd
0.8283 0.5406 0.1707 Nd
0.3975 0.7713 0.6149 Sm
0.5885 0.2189 0.3874 Sm
0.1116 0.3394 0.4209 In
0.2695 0.8155 0.2414 In
0.3488 0.4582 0.2230 In
0.4491 0.1410 0.9580 In
0.5803 0.8495 0.0701 In
0.6330 0.5333 0.7760 In
0.7040 0.1732 0.7498 In
0.8681 0.6578 0.5763 In
```

Largest 6 diffraction maxima, in order of rising 2θ, 2θ from 5° to 70°:
2θ (°)	d/Å	I (rel.)
30.8	2.906	56
31.3	2.862	48
31.4	2.848	100
32.1	2.784	49
35.3	2.543	44
37.8	2.379	35

For Nd6SmIn6, a PBE-relaxed structure gives the theoretical XRD peak list in this record (Cu Kα).
Lines closer than 0.1° are merged.

Cell and atoms:
```
Nd6SmIn6
1.0
6.3880 0.0000 0.0000
-3.1940 5.5322 0.0000
0.0000 0.0000 11.1448
Nd Sm In
6 1 6
Direct
0.0000 0.0000 0.1660 Nd
0.0000 0.0000 0.8340 Nd
0.3333 0.6667 0.0000 Nd
0.3333 0.6667 0.5000 Nd
0.6667 0.3333 0.0000 Nd
0.6667 0.3333 0.5000 Nd
0.0000 0.0000 0.5000 Sm
0.0000 0.5000 0.2540 In
0.0000 0.5000 0.7460 In
0.5000 0.0000 0.2540 In
0.5000 0.0000 0.7460 In
0.5000 0.5000 0.2540 In
0.5000 0.5000 0.7460 In
```

Largest 6 diffraction maxima, in order of rising 2θ, 2θ from 5° to 70°:
2θ (°)	d/Å	I (rel.)
27.9	3.194	43
29.0	3.084	27
32.3	2.769	100
36.3	2.478	69
57.4	1.606	29
57.7	1.597	27

For Nd3Sm3In, a PBE-relaxed structure gives the theoretical XRD peak list in this record (Cu Kα).
Lines closer than 0.1° are merged.

Cell and atoms:
```
Nd3Sm3In
1.0
9.5722 0.0000 0.0000
0.0000 5.7223 0.0000
-4.7831 0.0000 8.2929
Nd Sm In
6 6 2
Direct
0.0211 0.2500 0.1270 Nd
0.1271 0.7500 0.6068 Nd
0.3934 0.7500 0.0210 Nd
0.6066 0.2500 0.9790 Nd
0.8729 0.2500 0.3932 Nd
0.9789 0.7500 0.8730 Nd
0.2562 0.7500 0.3198 Sm
0.3196 0.2500 0.5634 Sm
0.4370 0.2500 0.2565 Sm
0.5630 0.7500 0.7435 Sm
0.6804 0.7500 0.4366 Sm
0.7438 0.2500 0.6802 Sm
0.1667 0.2500 0.8336 In
0.8333 0.7500 0.1664 In
```

Largest 6 diffraction maxima, in order of rising 2θ, 2θ from 5° to 70°:
2θ (°)	d/Å	I (rel.)
28.5	3.134	24
31.3	2.861	25
32.6	2.749	100
50.4	1.809	19
56.5	1.629	21
60.5	1.529	21

For Nd3Sm2In, a PBE-relaxed structure gives the theoretical XRD peak list in this record (Cu Kα).
Lines closer than 0.1° are merged.

Cell and atoms:
```
Nd3Sm2In
1.0
4.9909 0.0000 0.0000
0.0000 15.5282 0.0000
0.0000 0.0000 4.9800
Nd Sm In
6 4 2
Direct
0.0000 0.0000 0.0000 Nd
0.0000 0.3351 0.0000 Nd
0.0000 0.6649 0.0000 Nd
0.5000 0.1649 0.0000 Nd
0.5000 0.5000 0.0000 Nd
0.5000 0.8351 0.0000 Nd
0.0000 0.1621 0.5000 Sm
0.0000 0.8379 0.5000 Sm
0.5000 0.3379 0.5000 Sm
0.5000 0.6621 0.5000 Sm
0.0000 0.5000 0.5000 In
0.5000 0.0000 0.5000 In
```

Largest 6 diffraction maxima, in order of rising 2θ, 2θ from 5° to 70°:
2θ (°)	d/Å	I (rel.)
30.7	2.914	100
34.7	2.588	18
36.0	2.493	33
50.9	1.795	24
59.7	1.550	15
61.4	1.509	14

For Nd9Sm2In, a PBE-relaxed structure gives the theoretical XRD peak list in this record (Cu Kα).
Lines closer than 0.1° are merged.

Cell and atoms:
```
Nd9Sm2In
1.0
5.0843 0.0000 0.0000
0.0000 5.0843 0.0000
0.0000 0.0000 15.5989
Nd Sm In
9 2 1
Direct
0.0000 0.0000 0.0000 Nd
0.0000 0.0000 0.3296 Nd
0.0000 0.0000 0.6704 Nd
0.0000 0.5000 0.1602 Nd
0.0000 0.5000 0.5000 Nd
0.0000 0.5000 0.8398 Nd
0.5000 0.0000 0.1602 Nd
0.5000 0.0000 0.5000 Nd
0.5000 0.0000 0.8398 Nd
0.5000 0.5000 0.3304 Sm
0.5000 0.5000 0.6696 Sm
0.5000 0.5000 0.0000 In
```

Largest 6 diffraction maxima, in order of rising 2θ, 2θ from 5° to 70°:
2θ (°)	d/Å	I (rel.)
30.2	2.957	100
34.5	2.600	17
35.3	2.542	33
50.2	1.818	24
59.2	1.561	14
60.2	1.536	28

For Nd3Sm2In, a PBE-relaxed structure gives the theoretical XRD peak list in this record (Cu Kα).
Lines closer than 0.1° are merged.

Cell and atoms:
```
Nd3Sm2In
1.0
8.8998 0.0000 0.0000
0.0000 3.7798 0.0000
-0.0391 0.0000 11.6659
Nd Sm In
6 4 2
Direct
0.0942 0.2500 0.1032 Nd
0.3506 0.7500 0.5736 Nd
0.3921 0.7500 0.2502 Nd
0.6079 0.2500 0.7498 Nd
0.6494 0.2500 0.4264 Nd
0.9058 0.7500 0.8968 Nd
0.0896 0.2500 0.3947 Sm
0.3550 0.7500 0.9263 Sm
0.6450 0.2500 0.0737 Sm
0.9104 0.7500 0.6053 Sm
0.1560 0.2500 0.7527 In
0.8440 0.7500 0.2473 In
```

Largest 6 diffraction maxima, in order of rising 2θ, 2θ from 5° to 70°:
2θ (°)	d/Å	I (rel.)
30.5	2.933	46
30.6	2.923	44
31.0	2.880	100
33.0	2.710	82
48.1	1.890	15
58.1	1.588	29

For Nd5Sm4In4, a PBE-relaxed structure gives the theoretical XRD peak list in this record (Cu Kα).
Lines closer than 0.1° are merged.

Cell and atoms:
```
Nd5Sm4In4
1.0
-6.2688 6.2688 2.6096
6.2688 -6.2688 2.6096
6.2688 6.2688 -2.6096
Nd Sm In
5 4 4
Direct
0.0000 0.0000 0.0000 Nd
0.3101 0.5968 0.9069 Nd
0.4032 0.3101 0.7134 Nd
0.5968 0.6899 0.2866 Nd
0.6899 0.4032 0.0931 Nd
0.0949 0.3868 0.4817 Sm
0.3868 0.9051 0.2918 Sm
0.6132 0.0949 0.7082 Sm
0.9051 0.6132 0.5183 Sm
0.1096 0.7663 0.8759 In
0.2337 0.1096 0.3433 In
0.7663 0.8904 0.6567 In
0.8904 0.2337 0.1241 In
```

Largest 6 diffraction maxima, in order of rising 2θ, 2θ from 5° to 70°:
2θ (°)	d/Å	I (rel.)
30.9	2.894	100
34.1	2.627	10
34.4	2.610	23
36.5	2.459	18
51.0	1.790	14
59.4	1.556	15

For Nd4SmIn4, a PBE-relaxed structure gives the theoretical XRD peak list in this record (Cu Kα).
Lines closer than 0.1° are merged.

Cell and atoms:
```
Nd4SmIn4
1.0
7.2309 0.0000 0.0000
0.0000 7.2309 0.0000
0.0000 0.0000 11.0175
Nd Sm In
8 2 8
Direct
0.0262 0.2500 0.1764 Nd
0.2500 0.0262 0.6764 Nd
0.2500 0.4738 0.6764 Nd
0.4738 0.2500 0.1764 Nd
0.5262 0.7500 0.8236 Nd
0.7500 0.5262 0.3236 Nd
0.7500 0.9738 0.3236 Nd
0.9738 0.7500 0.8236 Nd
0.2500 0.7500 0.2500 Sm
0.7500 0.2500 0.7500 Sm
0.0161 0.2500 0.4767 In
0.2500 0.0161 0.9767 In
0.2500 0.4839 0.9767 In
0.4839 0.2500 0.4767 In
0.5161 0.7500 0.5233 In
0.7500 0.5161 0.0233 In
0.7500 0.9839 0.0233 In
0.9839 0.7500 0.5233 In
```

Largest 6 diffraction maxima, in order of rising 2θ, 2θ from 5° to 70°:
2θ (°)	d/Å	I (rel.)
28.8	3.103	64
34.8	2.576	100
35.1	2.557	31
50.5	1.808	18
62.3	1.491	14
62.8	1.480	29

For Nd3Sm8In2, a PBE-relaxed structure gives the theoretical XRD peak list in this record (Cu Kα).
Lines closer than 0.1° are merged.

Cell and atoms:
```
Nd3Sm8In2
1.0
7.1669 -4.7187 0.0000
7.1669 4.7187 0.0000
-1.0460 0.0000 6.5650
Nd Sm In
3 8 2
Direct
0.0000 0.0000 0.0000 Nd
0.1696 0.8304 0.5000 Nd
0.8304 0.1696 0.5000 Nd
0.1967 0.5566 0.0588 Sm
0.2076 0.2076 0.3432 Sm
0.4149 0.4149 0.6253 Sm
0.4434 0.8033 0.9412 Sm
0.5566 0.1967 0.0588 Sm
0.5851 0.5851 0.3747 Sm
0.7924 0.7924 0.6568 Sm
0.8033 0.4434 0.9412 Sm
0.1983 0.1983 0.8172 In
0.8017 0.8017 0.1828 In
```

Largest 6 diffraction maxima, in order of rising 2θ, 2θ from 5° to 70°:
2θ (°)	d/Å	I (rel.)
31.8	2.815	100
32.1	2.788	95
32.6	2.746	74
32.8	2.728	39
33.0	2.712	79
34.3	2.617	39

For Nd2Sm3In2, a PBE-relaxed structure gives the theoretical XRD peak list in this record (Cu Kα).
Lines closer than 0.1° are merged.

Cell and atoms:
```
Nd2Sm3In2
1.0
9.5672 0.0000 0.0000
0.0000 5.5298 0.0000
-3.1972 0.0000 8.2322
Nd Sm In
4 6 4
Direct
0.0787 0.0000 0.2360 Nd
0.4213 0.5000 0.7640 Nd
0.5787 0.5000 0.2360 Nd
0.9213 0.0000 0.7640 Nd
0.0000 0.5000 0.5000 Sm
0.1534 0.5000 0.9602 Sm
0.3466 0.0000 0.0398 Sm
0.5000 0.0000 0.5000 Sm
0.6534 0.0000 0.9602 Sm
0.8466 0.5000 0.0398 Sm
0.2174 0.0000 0.6520 In
0.2826 0.5000 0.3480 In
0.7174 0.5000 0.6520 In
0.7826 0.0000 0.3480 In
```

Largest 6 diffraction maxima, in order of rising 2θ, 2θ from 5° to 70°:
2θ (°)	d/Å	I (rel.)
31.5	2.840	97
32.4	2.763	100
45.8	1.981	34
55.5	1.655	14
57.2	1.610	35
57.8	1.595	19

For Nd14SmIn, a PBE-relaxed structure gives the theoretical XRD peak list in this record (Cu Kα).
Lines closer than 0.1° are merged.

Cell and atoms:
```
Nd14SmIn
1.0
7.2692 0.0000 0.0000
0.0000 7.2692 0.0000
0.0000 0.0000 10.3068
Nd Sm In
14 1 1
Direct
0.0000 0.0000 0.0000 Nd
0.0000 0.5000 0.0000 Nd
0.0000 0.5000 0.5000 Nd
0.2473 0.2473 0.2549 Nd
0.2473 0.2473 0.7451 Nd
0.2473 0.7527 0.2549 Nd
0.2473 0.7527 0.7451 Nd
0.5000 0.0000 0.0000 Nd
0.5000 0.0000 0.5000 Nd
0.5000 0.5000 0.0000 Nd
0.7527 0.2473 0.2549 Nd
0.7527 0.2473 0.7451 Nd
0.7527 0.7527 0.2549 Nd
0.7527 0.7527 0.7451 Nd
0.5000 0.5000 0.5000 Sm
0.0000 0.0000 0.5000 In
```

Largest 6 diffraction maxima, in order of rising 2θ, 2θ from 5° to 70°:
2θ (°)	d/Å	I (rel.)
30.1	2.970	100
34.9	2.572	51
50.2	1.819	36
59.5	1.553	14
59.6	1.550	29
62.5	1.485	12